TiNiIrO6: theoretical powder diffraction line list (copper Kα), based on a structure optimized by DFT (PBE+U).
No peak broadening, texture or thermal motion is included.

Atomic structure:
Cell lengths 5.0379, 5.0379, 8.8859 Å; angles 90.00, 90.00, 120.00 degrees
Space group P-31c (No. 163)
Unique sites:
Ti  0.3333  0.6667  0.2500
Ni  0.0000  0.0000  0.0000
Ir  0.3333  0.6667  0.7500
O  0.0015  0.3466  0.6302

Peak list (6 most intense, 10 to 90 degrees two-theta, in order of falling intensity)
Position (°2θ), I/Imax, h k l
28.68, 100, 1 0 2
22.71, 76, 1 0 1
55.12, 54, 1 1 4
35.64, 53, 1 1 0
41.20, 39, 1 1 2
19.98, 37, 0 0 2



NiIrWO6: theoretical powder diffraction line list (copper Kα), based on a structure optimized by DFT (PBE+U).
No peak broadening, texture or thermal motion is included.

Atomic structure:
Cell lengths 5.0455, 5.0455, 9.1986 Å; angles 90.00, 90.00, 120.00 degrees
Space group P-31c (No. 163)
Unique sites:
Ni  0.0000  0.0000  0.0000
Ir  0.3333  0.6667  0.2500
W  0.3333  0.6667  0.7500
O  0.0107  0.3454  0.6298

Peak list (6 most intense, 10 to 90 degrees two-theta, in order of falling intensity)
Position (°2θ), I/Imax, h k l
28.17, 100, 1 0 2
35.59, 64, 1 1 0
19.30, 63, 0 0 2
53.95, 60, 1 1 4
40.80, 58, 1 1 2
45.99, 26, 2 0 2